No. 1
Calculated X-ray powder pattern
Compound: Hf2CoP
Radiation: Cu Kα X-rays
Structure: a crystal structure in the Materials Project, relaxed with PBE
Peak positions follow from Bragg's law for the DFT cell and can differ from measured ones.

Cell and atoms:
a b c (Å): 5.186 3.606 7.360
angles (deg): 90.00 109.59 90.00
Space group P2_1/m (No. 11)
Asymmetric unit:
Hf 0.206 0.250 0.419 [2 per cell]
Hf 0.273 0.750 0.065 [2 per cell]
Co 0.142 0.250 0.790 [2 per cell]
P 0.362 0.750 0.711 [2 per cell]

Most intense lines, 15° ≤ 2θ ≤ 90°, sorted by position:
hkl 1 1 -1, 30.95 deg, 2.889 Å, I = 51
hkl 0 1 2, 35.89 deg, 2.502 Å, I = 100
hkl 2 0 0, 36.79 deg, 2.443 Å, I = 26
hkl 1 0 -3, 37.03 deg, 2.428 Å, I = 25
hkl 2 0 -2, 37.25 deg, 2.414 Å, I = 25
hkl 2 1 0, 44.81 deg, 2.023 Å, I = 14
hkl 2 1 -2, 45.20 deg, 2.006 Å, I = 17
hkl 1 0 3, 48.92 deg, 1.862 Å, I = 19
hkl 0 2 0, 50.62 deg, 1.803 Å, I = 18
hkl 4 0 -2, 73.03 deg, 1.296 Å, I = 18

No. 2
Calculated X-ray powder pattern
Compound: Hf20Co5P11
Radiation: Cu Kα X-rays
Structure: a crystal structure in the Materials Project, relaxed with PBE
Peak positions follow from Bragg's law for the DFT cell and can differ from measured ones.

Cell and atoms:
a b c (Å): 10.225 3.594 17.081
angles (deg): 90.00 90.26 90.00
Space group Pm (No. 6)
Asymmetric unit:
Hf 0.000 0.000 0.000 [1 per cell]
Hf 0.003 0.000 0.500 [1 per cell]
Hf 0.065 0.000 0.301 [1 per cell]
Hf 0.130 0.500 0.141 [1 per cell]
Hf 0.190 0.500 0.745 [1 per cell]
Hf 0.237 0.500 0.441 [1 per cell]
Hf 0.262 0.000 0.901 [1 per cell]
Hf 0.311 0.000 0.592 [1 per cell]
Hf 0.371 0.000 0.190 [1 per cell]
Hf 0.428 0.500 0.036 [1 per cell]
Hf 0.495 0.500 0.836 [1 per cell]
Hf 0.503 0.500 0.336 [1 per cell]
Hf 0.565 0.500 0.537 [1 per cell]
Hf 0.628 0.000 0.692 [1 per cell]
Hf 0.690 0.000 0.092 [1 per cell]
Hf 0.738 0.000 0.396 [1 per cell]
Hf 0.764 0.500 0.940 [1 per cell]
Hf 0.810 0.500 0.245 [1 per cell]
Hf 0.871 0.500 0.645 [1 per cell]
Hf 0.933 0.000 0.799 [1 per cell]
Co 0.116 0.500 0.580 [1 per cell]
Co 0.246 0.000 0.055 [1 per cell]
Co 0.383 0.000 0.755 [1 per cell]
Co 0.615 0.000 0.257 [1 per cell]
Co 0.883 0.500 0.081 [1 per cell]
P 0.062 0.000 0.659 [1 per cell]
P 0.062 0.500 0.885 [1 per cell]
P 0.254 0.500 0.285 [1 per cell]
P 0.435 0.000 0.451 [1 per cell]
P 0.439 0.500 0.678 [1 per cell]
P 0.562 0.500 0.177 [1 per cell]
P 0.568 0.000 0.950 [1 per cell]
P 0.744 0.500 0.784 [1 per cell]
P 0.755 0.000 0.552 [1 per cell]
P 0.935 0.500 0.386 [1 per cell]
P 0.937 0.000 0.161 [1 per cell]

Most intense lines, 15° ≤ 2θ ≤ 90°, sorted by position:
hkl 1 1 -2, 28.32 deg, 3.152 Å, I = 45
hkl 1 1 -3, 30.69 deg, 2.913 Å, I = 99
hkl 1 1 4, 33.75 deg, 2.655 Å, I = 58
hkl 2 1 -3, 34.33 deg, 2.613 Å, I = 54
hkl 3 1 0, 36.33 deg, 2.473 Å, I = 97
hkl 4 0 -2, 36.71 deg, 2.448 Å, I = 100
hkl 2 1 -4, 37.12 deg, 2.422 Å, I = 67
hkl 1 0 -7, 37.87 deg, 2.376 Å, I = 33
hkl 0 2 0, 50.81 deg, 1.797 Å, I = 56
hkl 0 1 10, 59.96 deg, 1.543 Å, I = 34

What did the first record say?
Calculated X-ray powder pattern
Compound: Hf2CoP
Radiation: Cu Kα X-rays
Structure: a crystal structure in the Materials Project, relaxed with PBE
Peak positions follow from Bragg's law for the DFT cell and can differ from measured ones.

Cell and atoms:
a b c (Å): 5.186 3.606 7.360
angles (deg): 90.00 109.59 90.00
Space group P2_1/m (No. 11)
Asymmetric unit:
Hf 0.206 0.250 0.419 [2 per cell]
Hf 0.273 0.750 0.065 [2 per cell]
Co 0.142 0.250 0.790 [2 per cell]
P 0.362 0.750 0.711 [2 per cell]

Most intense lines, 15° ≤ 2θ ≤ 90°, sorted by position:
hkl 1 1 -1, 30.95 deg, 2.889 Å, I = 51
hkl 0 1 2, 35.89 deg, 2.502 Å, I = 100
hkl 2 0 0, 36.79 deg, 2.443 Å, I = 26
hkl 1 0 -3, 37.03 deg, 2.428 Å, I = 25
hkl 2 0 -2, 37.25 deg, 2.414 Å, I = 25
hkl 2 1 0, 44.81 deg, 2.023 Å, I = 14
hkl 2 1 -2, 45.20 deg, 2.006 Å, I = 17
hkl 1 0 3, 48.92 deg, 1.862 Å, I = 19
hkl 0 2 0, 50.62 deg, 1.803 Å, I = 18
hkl 4 0 -2, 73.03 deg, 1.296 Å, I = 18